Record 1
Calculated X-ray powder pattern
Compound: Pm6Ho3Er2
Radiation: Cu Ka
Structure: DFT lattice parameters and positions (GGA-PBE)
Lines closer than 0.1° are merged.

Most intense lines, 2θ from 10° to 80°, in order of rising 2θ:
| d (Å) | 2theta | Rel. int. |
| --- | --- | --- |
| 2.931 | 30.5 | 100 |
| 2.915 | 30.7 | 33 |
| 2.535 | 35.4 | 67 |
| 1.796 | 50.8 | 24 |
| 1.789 | 51.1 | 24 |
| 1.529 | 60.6 | 29 |

Crystal structure
Cell: 32.1297 32.1297 32.1297 Å, 6.41 6.41 6.41°
Element x y z (fractional)
Pm1 0.0908 0.0908 0.0908
Pm2 0.1823 0.1823 0.1823
Pm3 0.3636 0.3636 0.3636
Pm4 0.6364 0.6364 0.6364
Pm5 0.8177 0.8177 0.8177
Pm6 0.9092 0.9092 0.9092
Ho1 0.0000 0.0000 0.0000
Ho2 0.2729 0.2729 0.2729
Ho3 0.7271 0.7271 0.7271
Er1 0.4542 0.4542 0.4542
Er2 0.5458 0.5458 0.5458

Record 2
Calculated X-ray powder pattern
Compound: PmY3C8
Radiation: Cu Ka
Structure: DFT lattice parameters and positions (GGA-PBE)
Lines closer than 0.1° are merged.

Most intense lines, 2θ from 10° to 80°, in order of rising 2θ:
| d (Å) | 2theta | Rel. int. |
| --- | --- | --- |
| 3.389 | 26.3 | 91 |
| 3.132 | 28.5 | 95 |
| 3.072 | 29.1 | 100 |
| 1.917 | 47.4 | 57 |
| 1.876 | 48.5 | 53 |
| 1.744 | 52.5 | 36 |

Crystal structure
Cell: 6.3748 6.2060 6.7847 Å, 58.57 56.17 65.25°
Element x y z (fractional)
Pm1 0.0000 0.0000 0.0000
Y1 0.2753 0.2753 0.2247
Y2 0.4929 0.4929 0.5071
Y3 0.7753 0.7753 0.7247
C1 0.0829 0.4197 0.5803
C2 0.1097 0.5993 0.8903
C3 0.3724 0.8745 0.1255
C4 0.4197 0.0829 0.9171
C5 0.5622 0.8989 0.4378
C6 0.5993 0.1097 0.4007
C7 0.8745 0.3724 0.6276
C8 0.8989 0.5622 0.1011

Record 3
Calculated X-ray powder pattern
Compound: BaP4
Radiation: Cu Ka
Structure: DFT lattice parameters and positions (GGA-PBE)
Lines closer than 0.1° are merged.

Most intense lines, 2θ from 10° to 80°, in order of rising 2θ:
| d (Å) | 2theta | Rel. int. |
| --- | --- | --- |
| 4.528 | 19.6 | 33 |
| 3.792 | 23.5 | 57 |
| 3.608 | 24.7 | 100 |
| 3.569 | 25.0 | 37 |
| 2.681 | 33.4 | 27 |
| 2.264 | 39.8 | 27 |

Crystal structure
Cell: 6.4294 5.4706 8.1064 Å, 90.00 95.41 90.00°
Element x y z (fractional)
Ba1 0.0000 0.0000 0.0000
Ba2 0.0000 0.5000 0.5000
P1 0.3214 0.2242 0.7643
P2 0.3214 0.2758 0.2643
P3 0.4111 0.5742 0.1093
P4 0.4111 0.9258 0.6093
P5 0.5889 0.0742 0.3907
P6 0.5889 0.4258 0.8907
P7 0.6786 0.7242 0.7357
P8 0.6786 0.7758 0.2357

Record 4
Calculated X-ray powder pattern
Compound: SmHo6In5
Radiation: Cu Ka
Structure: DFT lattice parameters and positions (GGA-PBE)
Lines closer than 0.1° are merged.

Most intense lines, 2θ from 10° to 80°, in order of rising 2θ:
| d (Å) | 2theta | Rel. int. |
| --- | --- | --- |
| 2.748 | 32.6 | 100 |
| 2.508 | 35.8 | 19 |
| 2.487 | 36.1 | 20 |
| 1.766 | 51.8 | 13 |
| 1.490 | 62.3 | 13 |
| 1.481 | 62.7 | 15 |

Crystal structure
Cell: 9.0521 9.0521 9.0521 Å, 148.11 122.18 67.57°
Element x y z (fractional)
Sm1 0.0000 0.0000 0.0000
Ho1 0.0940 0.8302 0.2639
Ho2 0.2735 0.5000 0.7735
Ho3 0.4337 0.1698 0.2639
Ho4 0.5663 0.8302 0.7361
Ho5 0.7265 0.5000 0.2265
Ho6 0.9060 0.1698 0.7361
In1 0.1528 0.6528 0.5000
In2 0.3219 0.3219 0.0000
In3 0.5000 0.0000 0.5000
In4 0.6781 0.6781 0.0000
In5 0.8472 0.3472 0.5000

Record 5
Calculated X-ray powder pattern
Compound: InPt2Se3
Radiation: Cu Ka
Structure: DFT lattice parameters and positions (GGA-PBE)
Lines closer than 0.1° are merged.

Most intense lines, 2θ from 10° to 80°, in order of rising 2θ:
| d (Å) | 2theta | Rel. int. |
| --- | --- | --- |
| 5.992 | 14.8 | 74 |
| 3.202 | 27.9 | 49 |
| 2.636 | 34.0 | 100 |
| 2.413 | 37.3 | 22 |
| 1.879 | 48.5 | 40 |
| 1.849 | 49.3 | 27 |

Crystal structure
Cell: 7.3979 7.3979 7.3979 Å, 61.05 61.05 61.05°
Element x y z (fractional)
In1 0.2261 0.2261 0.2261
In2 0.7739 0.7739 0.7739
Pt1 0.0000 0.0000 0.0000
Pt2 0.0000 0.5000 0.5000
Pt3 0.5000 0.0000 0.5000
Pt4 0.5000 0.5000 0.0000
Se1 0.2398 0.2398 0.7331
Se2 0.2398 0.7331 0.2398
Se3 0.2669 0.7602 0.7602
Se4 0.7331 0.2398 0.2398
Se5 0.7602 0.2669 0.7602
Se6 0.7602 0.7602 0.2669

Record 6
Calculated X-ray powder pattern
Compound: Nd13Dy3
Radiation: Cu Ka
Structure: DFT lattice parameters and positions (GGA-PBE)
Lines closer than 0.1° are merged.

Most intense lines, 2θ from 10° to 80°, in order of rising 2θ:
| d (Å) | 2theta | Rel. int. |
| --- | --- | --- |
| 2.984 | 29.9 | 100 |
| 2.584 | 34.7 | 51 |
| 1.827 | 49.9 | 36 |
| 1.558 | 59.3 | 43 |
| 1.492 | 62.2 | 12 |
| 1.292 | 73.3 | 6 |

Crystal structure
Cell: 10.3357 7.3086 7.3086 Å, 89.96 90.00 90.00°
Element x y z (fractional)
Nd1 0.0000 0.0000 0.0000
Nd2 0.0000 0.9998 0.4964
Nd3 0.0000 0.4964 0.9998
Nd4 0.0000 0.4961 0.4961
Nd5 0.2512 0.2470 0.7489
Nd6 0.2512 0.7489 0.2470
Nd7 0.2512 0.7490 0.7490
Nd8 0.5000 0.9999 0.4960
Nd9 0.5000 0.4960 0.9999
Nd10 0.5000 0.4961 0.4961
Nd11 0.7488 0.2470 0.7489
Nd12 0.7488 0.7489 0.2470
Nd13 0.7488 0.7490 0.7490
Dy1 0.2512 0.2469 0.2469
Dy2 0.5000 0.0000 0.0000
Dy3 0.7488 0.2469 0.2469